For K2NaMoBr6, a crystal structure in Alexandria, relaxed with PBE gives the computed PXRD pattern in this record (Cu Kα).

Peak list (6 most intense, 2θ = 10–80°, in order of rising 2θ)
2θ 12.7, I 50
2θ 14.1, I 66
2θ 29.2, I 80
2θ 31.1, I 100
2θ 35.0, I 31
2θ 48.0, I 52

Atomic structure:
```
data_K2NaMoBr6
_cell_length_a 7.5828
_cell_length_b 7.5828
_cell_length_c 41.6710
_cell_angle_alpha 90.00
_cell_angle_beta 90.00
_cell_angle_gamma 120.00
_symmetry_space_group_name_H-M 'R -3 m'
_symmetry_Int_Tables_number 166
_symmetry_space_group_name_Hall '-R 3 2"'
loop_
_atom_site_label
_atom_site_type_symbol
_atom_site_fract_x
_atom_site_fract_y
_atom_site_fract_z
_atom_site_occupancy
K1 K 0.0000 0.0000 0.1386 1
K2 K 0.0000 0.0000 0.3076 1
Na1 Na 0.0000 0.0000 0.4154 1
Mo1 Mo 0.0000 0.0000 0.0000 1
Mo2 Mo 0.0000 0.0000 0.5000 1
Br1 Br 0.0077 0.5038 0.1302 1
Br2 Br 0.0107 0.5054 0.7033 1
```